(1)
Structure and theoretical X-ray powder pattern of Zn3Si4Sn2O14 (a DFT-relaxed cell (PBE, the Materials Project); CuKα).
Peak positions follow from Bragg's law for the DFT cell and can differ from measured ones.

```
data_Zn3Si4Sn2O14
_cell_length_a 16.558
_cell_length_b 8.645
_cell_length_c 10.246
_cell_angle_alpha 90.00
_cell_angle_beta 123.90
_cell_angle_gamma 90.00
_space_group_name_H-M_alt 'C 1 2/c 1'
_space_group_IT_number 15
_space_group_name_Hall '-C 2yc'
loop_
_atom_site_label
_atom_site_fract_x
_atom_site_fract_y
_atom_site_fract_z
_atom_site_occupancy
Zn1 0.000 0.094 0.250 1
Zn2 0.172 0.377 0.408 1
Si1 0.125 0.137 0.108 1
Si2 0.187 0.195 0.704 1
Sn1 0.000 0.286 0.750 1
Sn2 0.000 0.500 0.000 1
O1 0.060 0.095 0.917 1
O2 0.068 0.229 0.178 1
O3 0.091 0.461 0.900 1
O4 0.094 0.294 0.672 1
O5 0.172 0.013 0.728 1
O6 0.203 0.202 0.559 1
O7 0.215 0.241 0.135 1
```

The 10 most intense peaks (15° ≤ 2θ ≤ 90°), in order of falling intensity:
2theta  I_rel
27.21  100.0
29.30  93.2
29.02  91.2
36.85  69.9
19.08  55.5
35.13  48.4
29.47  46.2
36.14  45.6
18.19  39.1
39.34  31.9

***

(2)
Structure and theoretical X-ray powder pattern of Sr2SiO4 (a DFT-relaxed cell (PBE, the Materials Project); CuKα).
Peak positions follow from Bragg's law for the DFT cell and can differ from measured ones.

```
data_Sr2SiO4
_cell_length_a 5.758
_cell_length_b 7.165
_cell_length_c 11.121
_cell_angle_alpha 90.00
_cell_angle_beta 117.74
_cell_angle_gamma 90.00
_space_group_name_H-M_alt 'P 1 21/c 1'
_space_group_IT_number 14
_space_group_name_Hall '-P 2ybc'
loop_
_atom_site_label
_atom_site_fract_x
_atom_site_fract_y
_atom_site_fract_z
_atom_site_occupancy
Sr1 0.028 0.001 0.302 1
Sr2 0.311 0.660 0.575 1
Si1 0.341 0.221 0.582 1
O1 0.154 0.176 0.140 1
O2 0.251 0.181 0.930 1
O3 0.286 0.504 0.068 1
O4 0.345 0.736 0.319 1
```

The 10 most intense peaks (15° ≤ 2θ ≤ 90°), in order of falling intensity:
2theta  I_rel
30.54  100.0
31.10  91.6
32.20  36.9
38.80  32.6
27.52  27.7
30.87  26.8
29.38  22.9
43.59  20.5
53.96  19.8
37.16  19.2

***

(3)
Structure and theoretical X-ray powder pattern of Sr2SiO4 (a DFT-relaxed cell (PBE, the Materials Project); CuKα).
Peak positions follow from Bragg's law for the DFT cell and can differ from measured ones.

```
data_Sr2SiO4
_cell_length_a 7.142
_cell_length_b 5.683
_cell_length_c 9.944
_cell_angle_alpha 90.00
_cell_angle_beta 90.00
_cell_angle_gamma 90.00
_space_group_name_H-M_alt 'P n m a'
_space_group_IT_number 62
_space_group_name_Hall '-P 2ac 2n'
loop_
_atom_site_label
_atom_site_fract_x
_atom_site_fract_y
_atom_site_fract_z
_atom_site_occupancy
Sr1 0.000 0.250 0.197 1
Sr2 0.157 0.250 0.571 1
Si1 0.220 0.250 0.919 1
O1 0.008 0.750 0.071 1
O2 0.181 0.750 0.572 1
O3 0.202 0.512 0.343 1
```

The 10 most intense peaks (15° ≤ 2θ ≤ 90°), in order of falling intensity:
2theta  I_rel
30.89  100.0
31.24  90.1
31.49  70.2
55.88  47.3
26.90  47.0
38.90  34.4
44.64  30.9
41.62  23.9
43.84  22.0
29.54  21.9

***

(4)
Structure and theoretical X-ray powder pattern of Sr3SiO (a DFT-relaxed cell (PBE, the Materials Project); CuKα).
Peak positions follow from Bragg's law for the DFT cell and can differ from measured ones.

```
data_Sr3SiO
_cell_length_a 7.200
_cell_length_b 10.153
_cell_length_c 7.159
_cell_angle_alpha 90.00
_cell_angle_beta 90.00
_cell_angle_gamma 90.00
_space_group_name_H-M_alt 'P n m a'
_space_group_IT_number 62
_space_group_name_Hall '-P 2ac 2n'
loop_
_atom_site_label
_atom_site_fract_x
_atom_site_fract_y
_atom_site_fract_z
_atom_site_occupancy
Sr1 0.012 0.250 0.065 1
Sr2 0.218 0.034 0.718 1
Si1 0.028 0.750 0.493 1
O1 0.000 0.000 0.000 1
```

The 10 most intense peaks (15° ≤ 2θ ≤ 90°), in order of falling intensity:
2theta  I_rel
35.36  100.0
30.44  95.0
30.56  75.3
29.18  66.2
53.39  38.9
17.47  34.3
50.88  28.9
33.00  19.5
39.67  19.2
27.79  17.8